# 1
AcU2TeN4: simulated X-ray diffraction stick pattern (copper Kα), based on a GGA-PBE-relaxed structure.

Largest 10 diffraction maxima, in order of rising 2θ, 10 to 90 degrees two-theta:
| 2theta | d/Å | I/Imax |
| --- | --- | --- |
| 24.5 | 3.636 | 8 |
| 29.6 | 3.021 | 100 |
| 32.1 | 2.788 | 38 |
| 38.3 | 2.350 | 10 |
| 43.4 | 2.083 | 8 |
| 46.0 | 1.971 | 18 |
| 50.8 | 1.797 | 18 |
| 55.7 | 1.651 | 35 |
| 61.4 | 1.510 | 11 |
| 88.8 | 1.101 | 8 |

Structural model:
Lattice parameters (Å, degrees): 3.9428 3.9428 9.4002 90.00 90.00 90.00
Sites, in units of the cell vectors:
Ac 0.0000 0.0000 0.0000
U 0.5000 0.5000 0.2780
U 0.5000 0.5000 0.7220
Te 0.0000 0.0000 0.5000
N 0.0000 0.5000 0.1891
N 0.0000 0.5000 0.8109
N 0.5000 0.0000 0.1891
N 0.5000 0.0000 0.8109

# 2
AcTh3N4: simulated X-ray diffraction stick pattern (copper Kα), based on a GGA-PBE-relaxed structure.

Largest 10 diffraction maxima, in order of rising 2θ, 10 to 90 degrees two-theta:
| 2theta | d/Å | I/Imax |
| --- | --- | --- |
| 29.4 | 3.041 | 76 |
| 29.5 | 3.027 | 75 |
| 34.1 | 2.627 | 100 |
| 48.9 | 1.864 | 12 |
| 49.0 | 1.858 | 48 |
| 58.1 | 1.587 | 37 |
| 58.4 | 1.581 | 24 |
| 60.9 | 1.521 | 13 |
| 61.3 | 1.513 | 12 |
| 82.0 | 1.175 | 22 |

Structural model:
Lattice parameters (Å, degrees): 6.4450 6.4450 3.7015 90.00 90.00 109.31
Sites, in units of the cell vectors:
Ac 0.0000 0.0000 0.0000
Th 0.0000 0.5000 0.5000
Th 0.5000 0.0000 0.5000
Th 0.5000 0.5000 0.0000
N 0.2608 0.7392 0.0000
N 0.2737 0.2737 0.5000
N 0.7263 0.7263 0.5000
N 0.7392 0.2608 0.0000

# 3
Ac3ThN4: simulated X-ray diffraction stick pattern (copper Kα), based on a GGA-PBE-relaxed structure.

Largest 10 diffraction maxima, in order of rising 2θ, 10 to 90 degrees two-theta:
| 2theta | d/Å | I/Imax |
| --- | --- | --- |
| 28.4 | 3.137 | 100 |
| 33.0 | 2.717 | 66 |
| 47.3 | 1.922 | 40 |
| 56.1 | 1.640 | 33 |
| 56.2 | 1.636 | 16 |
| 58.8 | 1.571 | 8 |
| 59.0 | 1.567 | 8 |
| 76.3 | 1.248 | 10 |
| 78.7 | 1.216 | 11 |
| 87.9 | 1.110 | 9 |

Structural model:
Lattice parameters (Å, degrees): 6.6620 6.6620 3.8337 90.00 90.00 109.42
Sites, in units of the cell vectors:
Ac 0.0000 0.0000 0.0000
Ac 0.0000 0.5000 0.5000
Ac 0.5000 0.0000 0.5000
Th 0.5000 0.5000 0.0000
N 0.2675 0.7325 0.0000
N 0.2719 0.2719 0.5000
N 0.7281 0.7281 0.5000
N 0.7325 0.2675 0.0000

# 4
Ac3Ti2N7: simulated X-ray diffraction stick pattern (copper Kα), based on a GGA-PBE-relaxed structure.

Largest 10 diffraction maxima, in order of rising 2θ, 10 to 90 degrees two-theta:
| 2theta | d/Å | I/Imax |
| --- | --- | --- |
| 22.3 | 3.992 | 45 |
| 25.1 | 3.545 | 22 |
| 30.4 | 2.939 | 100 |
| 31.1 | 2.874 | 62 |
| 40.4 | 2.232 | 39 |
| 44.6 | 2.032 | 30 |
| 51.9 | 1.763 | 17 |
| 52.4 | 1.746 | 17 |
| 54.9 | 1.671 | 40 |
| 71.2 | 1.324 | 14 |

Structural model:
Lattice parameters (Å, degrees): 11.0165 11.0165 11.0165 158.74 158.74 30.24
Sites, in units of the cell vectors:
Ac 0.0000 0.0000 0.0000
Ac 0.1819 0.1819 0.0000
Ac 0.8181 0.8181 0.0000
Ti 0.4020 0.4020 0.0000
Ti 0.5980 0.5980 0.0000
N 0.0942 0.5942 0.5000
N 0.3055 0.3055 0.0000
N 0.4058 0.9058 0.5000
N 0.5000 0.5000 0.0000
N 0.5942 0.0942 0.5000
N 0.6945 0.6945 0.0000
N 0.9058 0.4058 0.5000

# 5
Ac3Ti2N6: simulated X-ray diffraction stick pattern (copper Kα), based on a GGA-PBE-relaxed structure.

Largest 10 diffraction maxima, in order of rising 2θ, 10 to 90 degrees two-theta:
| 2theta | d/Å | I/Imax |
| --- | --- | --- |
| 22.4 | 3.973 | 50 |
| 25.1 | 3.542 | 22 |
| 30.5 | 2.930 | 100 |
| 31.3 | 2.860 | 58 |
| 40.5 | 2.225 | 39 |
| 44.8 | 2.022 | 28 |
| 52.1 | 1.756 | 14 |
| 52.5 | 1.743 | 18 |
| 55.2 | 1.664 | 39 |
| 71.4 | 1.320 | 15 |

Structural model:
Lattice parameters (Å, degrees): 11.0046 11.0046 11.0046 158.82 158.82 30.12
Sites, in units of the cell vectors:
Ac 0.0000 0.0000 0.0000
Ac 0.1812 0.1812 0.0000
Ac 0.8188 0.8188 0.0000
Ti 0.3964 0.3964 0.0000
Ti 0.6036 0.6036 0.0000
N 0.0850 0.5850 0.5000
N 0.3067 0.3067 0.0000
N 0.4150 0.9150 0.5000
N 0.5850 0.0850 0.5000
N 0.6933 0.6933 0.0000
N 0.9150 0.4150 0.5000

# 6
AcTiN3: simulated X-ray diffraction stick pattern (copper Kα), based on a GGA-PBE-relaxed structure.

Largest 10 diffraction maxima, in order of rising 2θ, 10 to 90 degrees two-theta:
| 2theta | d/Å | I/Imax |
| --- | --- | --- |
| 23.8 | 3.737 | 100 |
| 29.7 | 3.007 | 51 |
| 38.4 | 2.343 | 30 |
| 45.3 | 2.002 | 40 |
| 49.3 | 1.848 | 30 |
| 52.7 | 1.736 | 13 |
| 54.2 | 1.691 | 11 |
| 63.9 | 1.457 | 12 |
| 67.1 | 1.395 | 12 |
| 71.2 | 1.324 | 10 |

Structural model:
Lattice parameters (Å, degrees): 6.0135 6.0135 5.3644 90.00 90.00 120.00
Sites, in units of the cell vectors:
Ac 0.3333 0.6667 0.2500
Ac 0.6667 0.3333 0.7500
Ti 0.0000 0.0000 0.2500
Ti 0.0000 0.0000 0.7500
N 0.0000 0.2604 0.5000
N 0.0000 0.7396 0.0000
N 0.2604 0.0000 0.5000
N 0.2604 0.2604 0.0000
N 0.7396 0.0000 0.0000
N 0.7396 0.7396 0.5000

# 7
Ac3Tl2N: simulated X-ray diffraction stick pattern (copper Kα), based on a GGA-PBE-relaxed structure.

Largest 10 diffraction maxima, in order of rising 2θ, 10 to 90 degrees two-theta:
| 2theta | d/Å | I/Imax |
| --- | --- | --- |
| 28.5 | 3.133 | 100 |
| 30.5 | 2.927 | 51 |
| 30.8 | 2.900 | 94 |
| 32.1 | 2.788 | 19 |
| 33.7 | 2.662 | 41 |
| 38.6 | 2.334 | 19 |
| 45.6 | 1.988 | 18 |
| 46.1 | 1.969 | 34 |
| 56.1 | 1.640 | 36 |
| 57.9 | 1.593 | 18 |

Structural model:
Lattice parameters (Å, degrees): 9.0460 9.0460 3.9768 90.00 90.00 145.77
Sites, in units of the cell vectors:
Ac 0.0000 0.0000 0.0000
Ac 0.3894 0.6106 0.5000
Ac 0.6106 0.3894 0.5000
Tl 0.1973 0.8027 0.0000
Tl 0.8027 0.1973 0.0000
N 0.5000 0.5000 0.0000

# 8
Ac4Tl2N: simulated X-ray diffraction stick pattern (copper Kα), based on a GGA-PBE-relaxed structure.

Largest 10 diffraction maxima, in order of rising 2θ, 10 to 90 degrees two-theta:
| 2theta | d/Å | I/Imax |
| --- | --- | --- |
| 26.7 | 3.341 | 92 |
| 27.0 | 3.301 | 62 |
| 28.6 | 3.116 | 18 |
| 29.2 | 3.056 | 45 |
| 30.4 | 2.938 | 100 |
| 35.6 | 2.521 | 18 |
| 36.1 | 2.487 | 30 |
| 45.1 | 2.012 | 32 |
| 48.1 | 1.890 | 18 |
| 55.9 | 1.645 | 25 |

Structural model:
Lattice parameters (Å, degrees): 7.2033 7.5612 9.9505 90.00 110.02 90.00
Sites, in units of the cell vectors:
Ac 0.0128 0.0041 0.2699
Ac 0.0128 0.4959 0.2699
Ac 0.3848 0.7500 0.0548
Ac 0.4282 0.7500 0.6493
Ac 0.5718 0.2500 0.3507
Ac 0.6152 0.2500 0.9452
Ac 0.9872 0.5041 0.7301
Ac 0.9872 0.9959 0.7301
Tl 0.1867 0.2500 0.0329
Tl 0.2932 0.2500 0.5848
Tl 0.7068 0.7500 0.4152
Tl 0.8133 0.7500 0.9671
N 0.2163 0.7500 0.7964
N 0.7837 0.2500 0.2036

# 9
AcUN4: simulated X-ray diffraction stick pattern (copper Kα), based on a GGA-PBE-relaxed structure.

Largest 10 diffraction maxima, in order of rising 2θ, 10 to 90 degrees two-theta:
| 2theta | d/Å | I/Imax |
| --- | --- | --- |
| 27.4 | 3.254 | 100 |
| 31.3 | 2.860 | 14 |
| 32.0 | 2.797 | 27 |
| 45.3 | 2.000 | 32 |
| 45.9 | 1.978 | 15 |
| 53.3 | 1.718 | 17 |
| 54.3 | 1.690 | 32 |
| 56.6 | 1.627 | 12 |
| 72.9 | 1.297 | 14 |
| 84.5 | 1.146 | 10 |

Structural model:
Lattice parameters (Å, degrees): 6.9548 6.9548 6.9548 132.56 132.56 69.34
Sites, in units of the cell vectors:
Ac 0.3750 0.6250 0.7500
Ac 0.6250 0.3750 0.2500
U 0.1250 0.8750 0.2500
U 0.8750 0.1250 0.7500
N 0.0000 0.1998 0.1998
N 0.0000 0.8002 0.8002
N 0.1998 0.0000 0.6998
N 0.1998 0.5000 0.1998
N 0.5000 0.1998 0.6998
N 0.5000 0.8002 0.3002
N 0.8002 0.0000 0.3002
N 0.8002 0.5000 0.8002

# 10
Ac3UN4: simulated X-ray diffraction stick pattern (copper Kα), based on a GGA-PBE-relaxed structure.

Largest 10 diffraction maxima, in order of rising 2θ, 10 to 90 degrees two-theta:
| 2theta | d/Å | I/Imax |
| --- | --- | --- |
| 28.8 | 3.103 | 52 |
| 29.1 | 3.073 | 100 |
| 29.4 | 3.041 | 48 |
| 33.5 | 2.674 | 86 |
| 34.0 | 2.635 | 42 |
| 48.1 | 1.891 | 62 |
| 48.9 | 1.863 | 30 |
| 56.9 | 1.619 | 17 |
| 57.0 | 1.615 | 17 |
| 57.4 | 1.606 | 25 |

Structural model:
Lattice parameters (Å, degrees): 6.5520 7.5671 6.4203 90.00 108.69 90.00
Sites, in units of the cell vectors:
Ac 0.0000 0.1233 0.2500
Ac 0.0000 0.3691 0.7500
Ac 0.0000 0.6309 0.2500
Ac 0.0000 0.8767 0.7500
Ac 0.5000 0.3753 0.2500
Ac 0.5000 0.6247 0.7500
U 0.5000 0.1193 0.7500
U 0.5000 0.8807 0.2500
N 0.2939 0.3267 0.5474
N 0.2939 0.6733 0.0474
N 0.3024 0.1014 0.9984
N 0.3024 0.8986 0.4984
N 0.6976 0.1014 0.5016
N 0.6976 0.8986 0.0016
N 0.7061 0.3267 0.9526
N 0.7061 0.6733 0.4526

# 11
Ac2UN4: simulated X-ray diffraction stick pattern (copper Kα), based on a GGA-PBE-relaxed structure.

Largest 10 diffraction maxima, in order of rising 2θ, 10 to 90 degrees two-theta:
| 2theta | d/Å | I/Imax |
| --- | --- | --- |
| 28.3 | 3.153 | 37 |
| 29.0 | 3.081 | 100 |
| 29.4 | 3.042 | 86 |
| 29.6 | 3.020 | 68 |
| 38.6 | 2.334 | 23 |
| 41.4 | 2.181 | 40 |
| 49.6 | 1.838 | 16 |
| 51.9 | 1.763 | 44 |
| 58.1 | 1.587 | 14 |
| 58.5 | 1.578 | 31 |

Structural model:
Lattice parameters (Å, degrees): 6.3056 10.5918 3.6759 90.00 90.00 90.00
Sites, in units of the cell vectors:
Ac 0.0617 0.1770 0.0000
Ac 0.4383 0.6770 0.0000
Ac 0.5617 0.3230 0.0000
Ac 0.9383 0.8230 0.0000
U 0.0000 0.5000 0.5000
U 0.5000 0.0000 0.5000
N 0.1338 0.6805 0.5000
N 0.2119 0.4570 0.0000
N 0.2881 0.9570 0.0000
N 0.3662 0.1805 0.5000
N 0.6338 0.8195 0.5000
N 0.7119 0.0430 0.0000
N 0.7881 0.5430 0.0000
N 0.8662 0.3195 0.5000

# 12
Ac6UN8: simulated X-ray diffraction stick pattern (copper Kα), based on a GGA-PBE-relaxed structure.

Largest 10 diffraction maxima, in order of rising 2θ, 10 to 90 degrees two-theta:
| 2theta | d/Å | I/Imax |
| --- | --- | --- |
| 14.2 | 6.246 | 16 |
| 27.3 | 3.262 | 8 |
| 28.6 | 3.123 | 100 |
| 33.1 | 2.705 | 67 |
| 47.5 | 1.913 | 48 |
| 56.4 | 1.631 | 50 |
| 59.2 | 1.562 | 17 |
| 76.8 | 1.241 | 21 |
| 79.2 | 1.210 | 22 |
| 88.6 | 1.104 | 17 |

Structural model:
Lattice parameters (Å, degrees): 7.6503 7.6503 7.6503 60.00 60.00 60.00
Sites, in units of the cell vectors:
Ac 0.0000 0.0000 0.5000
Ac 0.0000 0.5000 0.0000
Ac 0.0000 0.5000 0.5000
Ac 0.5000 0.0000 0.0000
Ac 0.5000 0.0000 0.5000
Ac 0.5000 0.5000 0.0000
U 0.0000 0.0000 0.0000
N 0.2063 0.2063 0.7937
N 0.2063 0.7937 0.2063
N 0.2063 0.7937 0.7937
N 0.2500 0.2500 0.2500
N 0.7500 0.7500 0.7500
N 0.7937 0.2063 0.2063
N 0.7937 0.2063 0.7937
N 0.7937 0.7937 0.2063

# 13
AcU7N12: simulated X-ray diffraction stick pattern (copper Kα), based on a GGA-PBE-relaxed structure.

Largest 7 diffraction maxima, in order of rising 2θ, 10 to 90 degrees two-theta:
| 2theta | d/Å | I/Imax |
| --- | --- | --- |
| 29.9 | 2.985 | 100 |
| 42.8 | 2.111 | 22 |
| 53.1 | 1.723 | 46 |
| 62.2 | 1.493 | 14 |
| 70.5 | 1.335 | 19 |
| 78.5 | 1.219 | 5 |
| 86.2 | 1.128 | 24 |

Structural model:
Lattice parameters (Å, degrees): 7.3118 7.3118 7.3118 109.47 109.47 109.47
Sites, in units of the cell vectors:
Ac 0.0000 0.0000 0.0000
U 0.0000 0.0000 0.5000
U 0.0000 0.5000 0.0000
U 0.0000 0.5000 0.5000
U 0.5000 0.0000 0.0000
U 0.5000 0.0000 0.5000
U 0.5000 0.5000 0.0000
U 0.5000 0.5000 0.5000
N 0.1265 0.3093 0.8171
N 0.1829 0.4922 0.3093
N 0.1829 0.8735 0.6907
N 0.3093 0.1829 0.4922
N 0.3093 0.8171 0.1265
N 0.4922 0.3093 0.1829
N 0.5078 0.6907 0.8171
N 0.6907 0.1829 0.8735
N 0.6907 0.8171 0.5078
N 0.8171 0.1265 0.3093
N 0.8171 0.5078 0.6907
N 0.8735 0.6907 0.1829